Computed XRD peak list
Compound: K2Na7Cd2
Radiation: Cu Kα (weighted mean of Kα1 and Kα2)
Structure: the PBE geometry in Alexandria

Top 10 peaks for 2θ = 15–90°, in order of falling intensity:
hkl 2 2 1, 29.94°, intensity 100; hkl 2 0 -1, 18.20°, intensity 47; hkl 2 2 0, 19.91°, intensity 24; hkl 2 0 -2, 34.55°, intensity 21; hkl 3 3 -1, 31.66°, intensity 19; hkl 0 4 0, 31.14°, intensity 17; hkl 6 0 0, 38.11°, intensity 14; hkl 1 3 0, 24.08°, intensity 13; hkl 0 2 0, 15.43°, intensity 13; hkl 1 3 -1, 28.97°, intensity 12

Crystal structure
```
data_K2Na7Cd2
_chemical_formula_sum 'K4 Na14 Cd4'
_cell_length_a 15.0611
_cell_length_b 11.4872
_cell_length_c 5.1926
_cell_angle_alpha 90.00
_cell_angle_beta 109.91
_cell_angle_gamma 90.00
_space_group_name_H-M_alt 'C 1 2/m 1'
_space_group_IT_number 12
loop_
_space_group_symop_operation_xyz
'x,y,z'
'-x,-y,-z'
'-x,y,-z'
'x,-y,z'
'x+1/2,y+1/2,z'
'-x+1/2,-y+1/2,-z'
'-x+1/2,y+1/2,-z'
'x+1/2,-y+1/2,z'
loop_
_atom_site_label
_atom_site_fract_x
_atom_site_fract_y
_atom_site_fract_z
_atom_site_occupancy
K1 0.1330 0.0000 0.1351 1
Na1 0.0000 0.5000 0.5000 1
Na2 0.1461 0.2552 0.6461 1
Na3 0.1600 0.5000 0.1593 1
Cd1 0.0000 0.2899 0.0000 1
```